Structure and computed powder diffractogram of AcCu2Ge3 (the GGA-PBE geometry in Alexandria; a wavelength of 1.5418 Å).
Kinematic intensities with the Lorentz-polarization factor, no thermal factor.

```
data_AcCu2Ge3
_space_group_name_H-M_alt 'I 4/m m m'
_space_group_IT_number 139
_space_group_name_Hall '-I 4 2'
_cell_length_a 4.3218
_cell_length_b 4.3218
_cell_length_c 25.4227
_cell_angle_alpha 90.00
_cell_angle_beta 90.00
_cell_angle_gamma 90.00
loop_
_atom_site_label
_atom_site_type_symbol
_atom_site_fract_x
_atom_site_fract_y
_atom_site_fract_z
Ac1 Ac 0.0000 0.0000 0.1513
Cu1 Cu 0.0000 0.0000 0.4012
Cu2 Cu 0.0000 0.5000 0.2500
Ge1 Ge 0.0000 0.0000 0.3022
Ge2 Ge 0.0000 0.5000 0.0491
```

Principal peaks in the range 10° ≤ 2θ ≤ 80°, sorted by position:
| d/Å | 2θ/deg | I (rel.) | h k l |
| --- | --- | --- | --- |
| 3.850 | 23.10 | 35 | 1 0 3 |
| 2.971 | 30.08 | 30 | 1 1 2 |
| 2.780 | 32.19 | 78 | 1 0 7 |
| 2.754 | 32.51 | 100 | 1 1 4 |
| 2.479 | 36.24 | 49 | 1 1 6 |
| 2.364 | 38.06 | 27 | 1 0 9 |
| 2.161 | 41.80 | 79 | 2 0 0 |
| 1.782 | 51.28 | 23 | 1 0 13 |
| 1.706 | 53.72 | 37 | 2 1 7 |
| 1.528 | 60.60 | 26 | 2 2 0 |

Structure and computed powder diffractogram of CaSmCd2Au4 (the GGA-PBE geometry in Alexandria; a wavelength of 1.5418 Å).
Kinematic intensities with the Lorentz-polarization factor, no thermal factor.

```
data_CaSmCd2Au4
_space_group_name_H-M_alt 'R -3 m'
_space_group_IT_number 166
_space_group_name_Hall '-R 3 2"'
_cell_length_a 4.9883
_cell_length_b 4.9883
_cell_length_c 24.4260
_cell_angle_alpha 90.00
_cell_angle_beta 90.00
_cell_angle_gamma 120.00
loop_
_atom_site_label
_atom_site_type_symbol
_atom_site_fract_x
_atom_site_fract_y
_atom_site_fract_z
Ca1 Ca 0.0000 0.0000 0.0000
Sm1 Sm 0.0000 0.0000 0.5000
Cd1 Cd 0.0000 0.0000 0.2512
Au1 Au 0.0000 0.0000 0.1242
Au2 Au 0.0000 0.0000 0.3753
```

Principal peaks in the range 10° ≤ 2θ ≤ 80°, sorted by position:
| d/Å | 2θ/deg | I (rel.) | h k l |
| --- | --- | --- | --- |
| 8.142 | 10.87 | 2 | 0 0 3 |
| 4.254 | 20.88 | 2 | 1 0 1 |
| 3.527 | 25.25 | 11 | 1 0 4 |
| 3.236 | 27.56 | 1 | 0 1 5 |
| 2.494 | 36.01 | 100 | 1 1 0 |
| 2.036 | 44.50 | 4 | 0 2 4 |
| 1.763 | 51.85 | 18 | 2 0 8 |
| 1.577 | 58.52 | 5 | 2 1 4 |
| 1.440 | 64.75 | 36 | 3 0 0 |
| 1.247 | 76.38 | 11 | 2 2 0 |

Structure and computed powder diffractogram of Sr5HoHg6 (the GGA-PBE geometry in Alexandria; a wavelength of 1.5418 Å).
Kinematic intensities with the Lorentz-polarization factor, no thermal factor.

```
data_Sr5HoHg6
_space_group_name_H-M_alt 'P 1 2/m 1'
_space_group_IT_number 10
_cell_length_a 5.5665
_cell_length_b 7.9292
_cell_length_c 8.8039
_cell_angle_alpha 90.00
_cell_angle_beta 108.39
_cell_angle_gamma 90.00
loop_
_space_group_symop_operation_xyz
'x,y,z'
'-x,-y,-z'
'-x,y,-z'
'x,-y,z'
loop_
_atom_site_label
_atom_site_type_symbol
_atom_site_fract_x
_atom_site_fract_y
_atom_site_fract_z
Sr1 Sr 0.0000 0.0000 0.0000
Sr2 Sr 0.3320 0.0000 0.6632
Sr3 Sr 0.3332 0.5000 0.6654
Ho1 Ho 0.0000 0.5000 0.0000
Hg1 Hg 0.1572 0.2607 0.3167
Hg2 Hg 0.5000 0.2690 0.0000
```

Principal peaks in the range 10° ≤ 2θ ≤ 80°, sorted by position:
| d/Å | 2θ/deg | I (rel.) | h k l |
| --- | --- | --- | --- |
| 3.937 | 22.58 | 12 | 1 0 -2 |
| 2.794 | 32.04 | 100 | 1 2 1 |
| 2.784 | 32.15 | 50 | 2 0 -1 |
| 1.982 | 45.77 | 9 | 0 4 0 |
| 1.969 | 46.11 | 18 | 2 0 -4 |
| 1.615 | 57.03 | 18 | 2 4 -1 |
| 1.609 | 57.25 | 37 | 3 2 -3 |
| 1.397 | 67.00 | 11 | 2 4 -4 |
| 1.253 | 75.95 | 8 | 1 6 -2 |
| 1.246 | 76.47 | 13 | 4 0 1 |

Structure and computed powder diffractogram of Pr2YHo6 (the GGA-PBE geometry in Alexandria; a wavelength of 1.5418 Å).
Kinematic intensities with the Lorentz-polarization factor, no thermal factor.

```
data_Pr2YHo6
_space_group_name_H-M_alt 'C 1 2/c 1'
_space_group_IT_number 15
_cell_length_a 10.6629
_cell_length_b 17.6062
_cell_length_c 6.2265
_cell_angle_alpha 90.00
_cell_angle_beta 95.00
_cell_angle_gamma 90.00
loop_
_space_group_symop_operation_xyz
'x,y,z'
'-x,-y,-z'
'-x,y,-z+1/2'
'x,-y,z+1/2'
'x+1/2,y+1/2,z'
'-x+1/2,-y+1/2,-z'
'-x+1/2,y+1/2,-z+1/2'
'x+1/2,-y+1/2,z+1/2'
loop_
_atom_site_label
_atom_site_type_symbol
_atom_site_fract_x
_atom_site_fract_y
_atom_site_fract_z
Pr1 Pr 0.2501 0.1023 0.9998
Y1 Y 0.0000 0.2498 0.7500
Ho1 Ho 0.0887 0.0768 0.4977
Ho2 Ho 0.0887 0.4230 0.4979
Ho3 Ho 0.1544 0.2499 0.2816
```

Principal peaks in the range 10° ≤ 2θ ≤ 80°, sorted by position:
| d/Å | 2θ/deg | I (rel.) | h k l |
| --- | --- | --- | --- |
| 2.930 | 30.51 | 100 | 0 6 0 |
| 2.924 | 30.57 | 52 | 3 1 1 |
| 2.808 | 31.87 | 99 | 3 3 -1 |
| 2.647 | 33.87 | 12 | 3 3 1 |
| 2.535 | 35.41 | 33 | 0 4 2 |
| 2.269 | 39.73 | 24 | 3 5 1 |
| 1.918 | 47.39 | 14 | 3 7 1 |
| 1.669 | 55.03 | 17 | 3 9 -1 |
| 1.652 | 55.65 | 21 | 3 3 3 |
| 1.643 | 55.98 | 15 | 6 4 0 |

Structure and computed powder diffractogram of RbTe6 (the GGA-PBE geometry in Alexandria; a wavelength of 1.5418 Å).
Kinematic intensities with the Lorentz-polarization factor, no thermal factor.

```
data_RbTe6
_space_group_name_H-M_alt 'C 1 2/c 1'
_space_group_IT_number 15
_cell_length_a 12.2563
_cell_length_b 7.3556
_cell_length_c 12.6643
_cell_angle_alpha 90.00
_cell_angle_beta 112.33
_cell_angle_gamma 90.00
loop_
_space_group_symop_operation_xyz
'x,y,z'
'-x,-y,-z'
'-x,y,-z+1/2'
'x,-y,z+1/2'
'x+1/2,y+1/2,z'
'-x+1/2,-y+1/2,-z'
'-x+1/2,y+1/2,-z+1/2'
'x+1/2,-y+1/2,z+1/2'
loop_
_atom_site_label
_atom_site_type_symbol
_atom_site_fract_x
_atom_site_fract_y
_atom_site_fract_z
Rb1 Rb 0.0000 0.1190 0.2500
Te1 Te 0.0764 0.2034 0.5552
Te2 Te 0.1828 0.4409 0.0905
Te3 Te 0.2184 0.4834 0.8523
```

Principal peaks in the range 10° ≤ 2θ ≤ 80°, sorted by position:
| d/Å | 2θ/deg | I (rel.) | h k l |
| --- | --- | --- | --- |
| 5.172 | 17.14 | 26 | 2 0 -2 |
| 3.566 | 24.97 | 31 | 3 1 -1 |
| 3.361 | 26.52 | 68 | 3 1 0 |
| 3.148 | 28.35 | 29 | 2 2 -1 |
| 3.132 | 28.50 | 100 | 2 0 -4 |
| 3.085 | 28.94 | 61 | 2 2 0 |
| 2.677 | 33.47 | 25 | 0 2 3 |
| 2.456 | 36.58 | 30 | 1 1 4 |
| 2.312 | 38.96 | 25 | 1 3 1 |
| 2.116 | 42.73 | 32 | 4 2 -4 |

Structure and computed powder diffractogram of Y3TmIr3 (the GGA-PBE geometry in Alexandria; a wavelength of 1.5418 Å).
Kinematic intensities with the Lorentz-polarization factor, no thermal factor.

```
data_Y3TmIr3
_space_group_name_H-M_alt 'R -3 m'
_space_group_IT_number 166
_space_group_name_Hall '-R 3 2"'
_cell_length_a 9.6132
_cell_length_b 9.6132
_cell_length_c 5.9598
_cell_angle_alpha 90.00
_cell_angle_beta 90.00
_cell_angle_gamma 120.00
loop_
_atom_site_label
_atom_site_type_symbol
_atom_site_fract_x
_atom_site_fract_y
_atom_site_fract_z
Y1 Y 0.0000 0.5000 0.0000
Tm1 Tm 0.0000 0.0000 0.0000
Ir1 Ir 0.0000 0.5000 0.5000
```

Principal peaks in the range 10° ≤ 2θ ≤ 80°, sorted by position:
| d/Å | 2θ/deg | I (rel.) | h k l |
| --- | --- | --- | --- |
| 4.846 | 18.31 | 40 | 1 0 1 |
| 2.782 | 32.18 | 22 | 2 1 1 |
| 2.423 | 37.10 | 100 | 2 0 2 |
| 2.403 | 37.42 | 98 | 2 2 0 |
| 1.706 | 53.72 | 35 | 0 4 2 |
| 1.403 | 66.67 | 18 | 0 2 4 |
| 1.391 | 67.30 | 35 | 4 2 2 |
| 1.388 | 67.50 | 17 | 6 0 0 |
| 1.212 | 79.04 | 11 | 4 0 4 |
| 1.202 | 79.82 | 11 | 4 4 0 |

Structure and computed powder diffractogram of Sc3Al2 (the GGA-PBE geometry in Alexandria; a wavelength of 1.5418 Å).
Kinematic intensities with the Lorentz-polarization factor, no thermal factor.

```
data_Sc3Al2
_space_group_name_H-M_alt 'P 42/m n m'
_space_group_IT_number 136
_space_group_name_Hall '-P 4n 2n'
_cell_length_a 7.7278
_cell_length_b 7.7278
_cell_length_c 7.0972
_cell_angle_alpha 90.00
_cell_angle_beta 90.00
_cell_angle_gamma 90.00
loop_
_atom_site_label
_atom_site_type_symbol
_atom_site_fract_x
_atom_site_fract_y
_atom_site_fract_z
Sc1 Sc 0.0000 0.5000 0.2500
Sc2 Sc 0.1526 0.1526 0.0000
Sc3 Sc 0.1988 0.1988 0.5000
Al1 Al 0.1231 0.8769 0.2950
```

Principal peaks in the range 10° ≤ 2θ ≤ 80°, sorted by position:
| d/Å | 2θ/deg | I (rel.) | h k l |
| --- | --- | --- | --- |
| 2.976 | 30.03 | 17 | 1 1 2 |
| 2.732 | 32.78 | 25 | 2 2 0 |
| 2.614 | 34.31 | 66 | 2 0 2 |
| 2.476 | 36.28 | 100 | 2 1 2 |
| 2.444 | 36.78 | 66 | 3 1 0 |
| 2.311 | 38.98 | 16 | 3 1 1 |
| 1.774 | 51.51 | 12 | 0 0 4 |
| 1.620 | 56.82 | 13 | 3 3 2 |
| 1.436 | 64.95 | 16 | 3 1 4 |
| 1.394 | 67.16 | 12 | 5 1 2 |

Structure and computed powder diffractogram of La7Cd2Co2 (the GGA-PBE geometry in Alexandria; a wavelength of 1.5418 Å).
Kinematic intensities with the Lorentz-polarization factor, no thermal factor.

```
data_La7Cd2Co2
_space_group_name_H-M_alt 'I m m 2'
_space_group_IT_number 44
_cell_length_a 3.8328
_cell_length_b 15.3805
_cell_length_c 11.0441
_cell_angle_alpha 90.00
_cell_angle_beta 90.00
_cell_angle_gamma 90.00
loop_
_space_group_symop_operation_xyz
'x,y,z'
'-x,-y,z'
'-x,y,z'
'x,-y,z'
'x+1/2,y+1/2,z+1/2'
'-x+1/2,-y+1/2,z+1/2'
'-x+1/2,y+1/2,z+1/2'
'x+1/2,-y+1/2,z+1/2'
loop_
_atom_site_label
_atom_site_type_symbol
_atom_site_fract_x
_atom_site_fract_y
_atom_site_fract_z
La1 La 0.0000 0.0000 0.0000
La2 La 0.0000 0.1843 0.5125
La3 La 0.0000 0.3427 0.3062
La4 La 0.0000 0.3637 0.7118
Cd1 Cd 0.0000 0.0000 0.6867
Cd2 Cd 0.0000 0.5000 0.9690
Co1 Co 0.0000 0.1828 0.0245
```

Principal peaks in the range 10° ≤ 2θ ≤ 80°, sorted by position:
| d/Å | 2θ/deg | I (rel.) | h k l |
| --- | --- | --- | --- |
| 3.276 | 27.22 | 40 | 1 2 1 |
| 3.155 | 28.28 | 29 | 0 4 2 |
| 3.085 | 28.95 | 37 | 1 1 2 |
| 2.990 | 29.88 | 47 | 0 3 3 |
| 2.761 | 32.43 | 24 | 0 0 4 |
| 2.683 | 33.40 | 100 | 1 3 2 |
| 2.655 | 33.76 | 26 | 1 0 3 |
| 2.563 | 35.00 | 36 | 0 6 0 |
| 1.916 | 47.46 | 34 | 2 0 0 |
| 1.843 | 49.45 | 19 | 0 0 6 |

Structure and computed powder diffractogram of Sr2GaCu6Pd (the GGA-PBE geometry in Alexandria; a wavelength of 1.5418 Å).
Kinematic intensities with the Lorentz-polarization factor, no thermal factor.

```
data_Sr2GaCu6Pd
_space_group_name_H-M_alt 'C 1 2/m 1'
_space_group_IT_number 12
_cell_length_a 9.4603
_cell_length_b 9.4795
_cell_length_c 6.6908
_cell_angle_alpha 90.00
_cell_angle_beta 134.83
_cell_angle_gamma 90.00
loop_
_space_group_symop_operation_xyz
'x,y,z'
'-x,-y,-z'
'-x,y,-z'
'x,-y,z'
'x+1/2,y+1/2,z'
'-x+1/2,-y+1/2,-z'
'-x+1/2,y+1/2,-z'
'x+1/2,-y+1/2,z'
loop_
_atom_site_label
_atom_site_type_symbol
_atom_site_fract_x
_atom_site_fract_y
_atom_site_fract_z
Sr1 Sr 0.0000 0.2499 0.0000
Ga1 Ga 0.0000 0.0000 0.5000
Cu1 Cu 0.0000 0.2457 0.5000
Cu2 Cu 0.2457 0.0000 0.4999
Cu3 Cu 0.2458 0.0000 0.9914
Pd1 Pd 0.0000 0.5000 0.5000
```

Principal peaks in the range 10° ≤ 2θ ≤ 80°, sorted by position:
| d/Å | 2θ/deg | I (rel.) | h k l |
| --- | --- | --- | --- |
| 4.738 | 18.73 | 32 | 0 2 0 |
| 3.351 | 26.60 | 62 | 2 0 0 |
| 2.736 | 32.74 | 85 | 2 2 0 |
| 2.371 | 37.94 | 100 | 0 4 0 |
| 2.365 | 38.05 | 50 | 4 0 -2 |
| 1.935 | 46.95 | 22 | 2 4 0 |
| 1.677 | 54.74 | 49 | 4 0 0 |
| 1.674 | 54.86 | 49 | 4 4 -2 |
| 1.369 | 68.54 | 16 | 4 4 0 |
| 1.367 | 68.68 | 16 | 4 4 -4 |

Structure and computed powder diffractogram of Nd2Ho3Tm2 (the GGA-PBE geometry in Alexandria; a wavelength of 1.5418 Å).
Kinematic intensities with the Lorentz-polarization factor, no thermal factor.

```
data_Nd2Ho3Tm2
_space_group_name_H-M_alt 'P -1'
_space_group_IT_number 2
_cell_length_a 3.5630
_cell_length_b 6.1380
_cell_length_c 10.6788
_cell_angle_alpha 84.64
_cell_angle_beta 89.98
_cell_angle_gamma 73.16
loop_
_space_group_symop_operation_xyz
'x,y,z'
'-x,-y,-z'
loop_
_atom_site_label
_atom_site_type_symbol
_atom_site_fract_x
_atom_site_fract_y
_atom_site_fract_z
Nd1 Nd 0.2155 0.0702 0.3544
Ho1 Ho 0.3575 0.7842 0.9308
Ho2 Ho 0.5000 0.5000 0.5000
Tm1 Tm 0.0701 0.3594 0.7885
```

Principal peaks in the range 10° ≤ 2θ ≤ 80°, sorted by position:
| d/Å | 2θ/deg | I (rel.) | h k l |
| --- | --- | --- | --- |
| 2.907 | 30.76 | 100 | 1 1 2 |
| 2.892 | 30.92 | 33 | 0 2 1 |
| 2.514 | 35.71 | 67 | 1 2 -1 |
| 1.781 | 51.29 | 24 | 2 1 0 |
| 1.774 | 51.51 | 24 | 0 3 -2 |
| 1.518 | 61.03 | 19 | 2 0 3 |
| 1.516 | 61.11 | 24 | 2 3 1 |
| 1.512 | 61.30 | 14 | 1 4 0 |
| 1.453 | 64.07 | 12 | 2 2 4 |
| 1.257 | 75.66 | 8 | 2 4 -2 |